(1)
Tl2In15Ga2: computed XRD peak list (Cu Kα, 1.54184 Å), based on a GGA-PBE-relaxed structure.
No peak broadening, texture or thermal motion is included.

The 10 most intense peaks (10 to 90 degrees two-theta), in order of falling intensity:
Position (°2θ)	Rel. int.
33.8	100
32.4	100
34.8	52
28.3	51
38.1	32
30.0	27
60.9	25
30.4	18
62.4	15
49.4	15

```
Tl2In15Ga2
1.0
5.1516 2.9743 5.8749
-5.1516 2.9743 5.8749
0.0000 -5.9485 5.8749
Tl In Ga
2 15 2
Direct
0.1986 0.1986 0.1986 Tl
0.8014 0.8014 0.8014 Tl
0.0000 0.5000 0.5000 In
0.1091 0.1091 0.6557 In
0.1091 0.6557 0.1091 In
0.2092 0.5000 0.7908 In
0.2092 0.7908 0.5000 In
0.3443 0.8909 0.8909 In
0.5000 0.0000 0.5000 In
0.5000 0.2092 0.7908 In
0.5000 0.5000 0.0000 In
0.5000 0.7908 0.2092 In
0.6557 0.1091 0.1091 In
0.7908 0.2092 0.5000 In
0.7908 0.5000 0.2092 In
0.8909 0.3443 0.8909 In
0.8909 0.8909 0.3443 In
0.4042 0.4042 0.4042 Ga
0.5958 0.5958 0.5958 Ga
```

(2)
Tl2In12Ga5: computed XRD peak list (Cu Kα, 1.54184 Å), based on a GGA-PBE-relaxed structure.
No peak broadening, texture or thermal motion is included.

The 10 most intense peaks (10 to 90 degrees two-theta), in order of falling intensity:
Position (°2θ)	Rel. int.
33.6	100
37.7	78
34.0	72
31.9	65
31.5	51
29.9	51
34.3	43
42.2	40
34.8	32
38.3	28

```
Tl2In12Ga5
1.0
8.9264 -3.2489 0.0000
8.9264 3.2489 0.0000
-3.1761 0.0000 9.0319
Tl In Ga
2 12 5
Direct
0.2436 0.7564 0.0000 Tl
0.7564 0.2436 0.0000 Tl
0.0040 0.0040 0.3446 In
0.0615 0.5489 0.8954 In
0.0928 0.5660 0.4340 In
0.4056 0.4056 0.1949 In
0.4340 0.9072 0.5660 In
0.4511 0.9385 0.1046 In
0.5489 0.0615 0.8954 In
0.5660 0.0928 0.4340 In
0.5944 0.5944 0.8051 In
0.9072 0.4340 0.5660 In
0.9385 0.4511 0.1046 In
0.9960 0.9960 0.6554 In
0.1568 0.1568 0.8278 Ga
0.1599 0.1599 0.3166 Ga
0.5000 0.5000 0.5000 Ga
0.8401 0.8401 0.6834 Ga
0.8432 0.8432 0.1722 Ga
```